(1)
# Sb2S2O9
Simulated X-ray powder pattern, a wavelength of 1.5418 Å. Input: DFT lattice parameters and positions (PBE).
Lines closer than 0.1° are merged.

Structural model:
Unit cell a=6.744 b=6.744 c=18.473 alpha=90.00 beta=90.00 gamma=90.00
Space group P4_12_12 (No. 92)
Inequivalent atoms, fractional coordinates:
Sb 0.037 0.156 0.166 x8
S 0.049 0.353 0.695 x8
O 0.014 0.602 0.453 x8
O 0.055 0.823 0.163 x8
O 0.080 0.715 0.901 x8
O 0.122 0.302 0.771 x8
O 0.138 0.862 0.750 x4

Main lines, sorted by position (2θ = 15–90°):
| 2θ/deg | I_rel |
| --- | --- |
| 16.27 | 100 |
| 19.22 | 27 |
| 23.35 | 51 |
| 23.60 | 28 |
| 26.88 | 60 |
| 28.17 | 35 |
| 31.95 | 43 |
| 33.07 | 40 |
| 38.53 | 21 |
| 43.56 | 28 |

=====

(2)
# LaNi2Au9
Simulated X-ray powder pattern, a wavelength of 1.5418 Å. Input: DFT lattice parameters and positions (PBE).
Lines closer than 0.1° are merged.

Structural model:
Unit cell a=11.255 b=11.255 c=7.107 alpha=90.00 beta=90.00 gamma=90.00
Space group I4_1/amd (No. 141, origin choice 2)
Inequivalent atoms, fractional coordinates:
La 0.000 0.250 0.375 x4
Ni 0.000 0.000 0.000 x8
Au 0.000 0.250 0.875 x4
Au 0.121 0.053 0.682 x32

Main lines, sorted by position (2θ = 15–90°):
| 2θ/deg | I_rel |
| --- | --- |
| 35.69 | 100 |
| 38.85 | 14 |
| 40.91 | 12 |
| 42.12 | 81 |
| 44.09 | 13 |
| 45.27 | 12 |
| 64.11 | 21 |
| 72.26 | 18 |
| 75.58 | 11 |
| 86.47 | 10 |

=====

(3)
# Li2Ac3Pb7
Simulated X-ray powder pattern, a wavelength of 1.5418 Å. Input: DFT lattice parameters and positions (PBE).
Lines closer than 0.1° are merged.

Structural model:
Unit cell a=4.864 b=4.864 c=31.554 alpha=90.00 beta=90.00 gamma=90.00
Space group I4/mmm (No. 139)
Inequivalent atoms, fractional coordinates:
Li 0.000 0.000 0.137 x4
Ac 0.000 0.000 0.333 x4
Ac 0.000 0.000 0.500 x2
Pb 0.000 0.000 0.000 x2
Pb 0.000 0.000 0.228 x4
Pb 0.000 0.500 0.084 x8

Main lines, sorted by position (2θ = 15–90°):
| 2θ/deg | I_rel |
| --- | --- |
| 26.53 | 26 |
| 28.31 | 64 |
| 31.07 | 100 |
| 31.45 | 32 |
| 34.10 | 26 |
| 36.96 | 70 |
| 51.16 | 34 |
| 59.16 | 34 |
| 62.96 | 28 |
| 83.64 | 32 |

=====

(4)
# Ga6Tc
Simulated X-ray powder pattern, a wavelength of 1.5418 Å. Input: DFT lattice parameters and positions (PBE).
Lines closer than 0.1° are merged.

Structural model:
Unit cell a=7.665 b=6.690 c=9.202 alpha=90.00 beta=90.00 gamma=90.00
Space group Cmcm (No. 63)
Inequivalent atoms, fractional coordinates:
Ga 0.000 0.116 0.103 x8
Ga 0.176 0.500 0.000 x8
Ga 0.181 0.224 0.750 x8
Tc 0.000 0.439 0.250 x4

Main lines, sorted by position (2θ = 15–90°):
| 2θ/deg | I_rel |
| --- | --- |
| 33.11 | 57 |
| 34.22 | 29 |
| 38.98 | 86 |
| 39.88 | 46 |
| 40.83 | 81 |
| 42.20 | 30 |
| 42.67 | 100 |
| 43.23 | 67 |
| 43.39 | 54 |
| 46.64 | 28 |

=====

(5)
# LaSi3Rh9
Simulated X-ray powder pattern, a wavelength of 1.5418 Å. Input: DFT lattice parameters and positions (PBE).
Lines closer than 0.1° are merged.

Structural model:
Unit cell a=5.104 b=12.867 c=6.309 alpha=90.00 beta=108.43 gamma=90.00
Space group C2/m (No. 12)
Inequivalent atoms, fractional coordinates:
La 0.000 0.000 0.000 x2
Si 0.000 0.500 0.500 x2
Si 0.250 0.250 0.000 x4
Rh 0.000 0.000 0.500 x2
Rh 0.095 0.386 0.230 x8
Rh 0.131 0.182 0.325 x8

Main lines, sorted by position (2θ = 15–90°):
| 2θ/deg | I_rel |
| --- | --- |
| 34.35 | 30 |
| 35.32 | 65 |
| 36.50 | 46 |
| 39.66 | 100 |
| 40.31 | 30 |
| 40.75 | 47 |
| 41.20 | 87 |
| 42.31 | 39 |
| 44.59 | 37 |
| 45.49 | 35 |

=====

(6)
# Zn2BIr3
Simulated X-ray powder pattern, a wavelength of 1.5418 Å. Input: DFT lattice parameters and positions (PBE).
Lines closer than 0.1° are merged.

Structural model:
Unit cell a=6.814 b=6.814 c=6.814 alpha=90.00 beta=90.00 gamma=90.00
Space group P4_132 (No. 213)
Inequivalent atoms, fractional coordinates:
Zn 0.064 0.064 0.064 x8
B 0.125 0.625 0.875 x4
Ir 0.046 0.875 0.704 x12

Main lines, sorted by position (2θ = 15–90°):
| 2θ/deg | I_rel |
| --- | --- |
| 29.31 | 18 |
| 39.68 | 100 |
| 41.93 | 59 |
| 44.08 | 23 |
| 57.37 | 12 |
| 60.80 | 11 |
| 70.47 | 22 |
| 75.08 | 20 |
| 84.04 | 10 |
| 88.45 | 11 |

=====

(7)
# Y3Cu5
Simulated X-ray powder pattern, a wavelength of 1.5418 Å. Input: DFT lattice parameters and positions (PBE).
Lines closer than 0.1° are merged.

Structural model:
Unit cell a=7.533 b=5.402 c=7.851 alpha=90.00 beta=105.17 gamma=90.00
Space group P2_1/m (No. 11)
Inequivalent atoms, fractional coordinates:
Y 0.016 0.250 0.257 x2
Y 0.266 0.250 0.928 x2
Y 0.346 0.750 0.245 x2
Cu 0.013 0.750 0.393 x2
Cu 0.275 0.008 0.578 x4
Cu 0.385 0.750 0.855 x2
Cu 0.430 0.250 0.374 x2

Main lines, sorted by position (2θ = 15–90°):
| 2θ/deg | I_rel |
| --- | --- |
| 33.17 | 64 |
| 33.74 | 100 |
| 34.31 | 55 |
| 37.10 | 50 |
| 38.34 | 87 |
| 38.52 | 74 |
| 40.78 | 43 |
| 41.03 | 66 |
| 41.49 | 65 |
| 44.83 | 38 |

=====

(8)
# PmPrO3
Simulated X-ray powder pattern, a wavelength of 1.5418 Å. Input: DFT lattice parameters and positions (PBE).
Lines closer than 0.1° are merged.

Structural model:
Unit cell a=6.2412 b=6.2412 c=3.2093 alpha=90.00 beta=90.00 gamma=120.00
Space group P-6m2 (No. 187)
Inequivalent atoms, fractional coordinates:
Pm 0.0000 0.0000 0.0000 x1
Pr 0.6667 0.3333 0.0000 x1
O 0.3289 0.1645 0.5000 x3

Main lines, sorted by position (2θ = 15–90°):
| 2θ/deg | I_rel |
| --- | --- |
| 16.40 | 100 |
| 27.80 | 20 |
| 28.60 | 72 |
| 32.45 | 23 |
| 40.31 | 73 |
| 43.79 | 23 |
| 44.34 | 15 |
| 50.67 | 15 |
| 58.77 | 24 |
| 88.27 | 15 |